1.
Starting from a crystal structure in the Materials Project, relaxed with PBE+U, the powder X-ray diffraction pattern of Na2MgV2O4F4 was calculated for copper Kα.
Kinematic intensities with the Lorentz-polarization factor, no thermal factor.

Atomic structure:
a b c (Å): 3.827 6.697 6.917
angles (deg): 73.88 89.99 89.90
Positions (direct):
Na  0.000  0.000  0.000
Na  0.495  0.184  0.591
Mg  0.997  0.527  0.257
V  0.498  0.498  0.961
V  0.997  0.698  0.609
O  0.498  0.401  0.233
O  0.498  0.650  0.678
O  0.998  0.535  0.936
O  0.998  0.788  0.354
F  0.499  0.221  0.916
F  0.499  0.779  0.021
F  0.995  0.967  0.663
F  0.997  0.404  0.556

Top 10 peaks for 10 to 80 degrees two-theta, by angle:
6.645 Å, 13.3°, rel. 37, hkl 0 0 1; 6.433 Å, 13.8°, rel. 100, hkl 0 1 0; 3.318 Å, 26.9°, rel. 58, hkl 1 0 1; 3.289 Å, 27.1°, rel. 31, hkl 1 -1 0; 3.274 Å, 27.2°, rel. 40, hkl 0 2 1; 2.794 Å, 32.0°, rel. 31, hkl 1 1 -1; 2.215 Å, 40.7°, rel. 34, hkl 0 0 3; 1.927 Å, 47.2°, rel. 22, hkl -1 3 1; 1.914 Å, 47.5°, rel. 37, hkl 2 0 0; 1.727 Å, 53.0°, rel. 18, hkl 1 -1 3

2.
Starting from a crystal structure in the Materials Project, relaxed with PBE+U, the powder X-ray diffraction pattern of LiCrPH2O5 was calculated for copper Kα.
Kinematic intensities with the Lorentz-polarization factor, no thermal factor.

Atomic structure:
a b c (Å): 9.867 7.293 6.057
angles (deg): 90.00 94.20 90.00
Positions (direct):
Li  0.149  0.060  0.421
Li  0.149  0.440  0.921
Li  0.851  0.560  0.079
Li  0.851  0.940  0.579
Cr  0.487  0.194  0.708
Cr  0.487  0.306  0.208
Cr  0.513  0.694  0.792
Cr  0.513  0.806  0.292
P  0.298  0.528  0.504
P  0.298  0.972  0.004
P  0.702  0.028  0.996
P  0.702  0.472  0.496
H  0.058  0.604  0.310
H  0.058  0.896  0.810
H  0.084  0.733  0.644
H  0.084  0.767  0.144
H  0.916  0.233  0.856
H  0.916  0.267  0.356
H  0.942  0.104  0.190
H  0.942  0.396  0.690
O  0.040  0.644  0.155
O  0.040  0.856  0.655
O  0.158  0.529  0.596
O  0.158  0.971  0.096
O  0.302  0.103  0.802
O  0.302  0.397  0.302
O  0.347  0.726  0.454
O  0.347  0.774  0.954
O  0.408  0.045  0.192
O  0.408  0.455  0.692
O  0.592  0.545  0.308
O  0.592  0.955  0.808
O  0.653  0.226  0.046
O  0.653  0.274  0.546
O  0.698  0.603  0.698
O  0.698  0.897  0.198
O  0.842  0.029  0.904
O  0.842  0.471  0.404
O  0.960  0.144  0.345
O  0.960  0.356  0.845

Top 10 peaks for 10 to 80 degrees two-theta, by angle:
4.652 Å, 19.1°, rel. 100, hkl 0 1 1; 3.480 Å, 25.6°, rel. 36, hkl 2 1 -1; 3.289 Å, 27.1°, rel. 40, hkl 2 1 1; 3.009 Å, 29.7°, rel. 52, hkl 1 2 -1; 2.947 Å, 30.3°, rel. 32, hkl 1 0 -2; 2.930 Å, 30.5°, rel. 69, hkl 2 2 0; 2.638 Å, 34.0°, rel. 60, hkl 1 1 2; 2.494 Å, 36.0°, rel. 44, hkl 2 0 2; 2.328 Å, 38.7°, rel. 26, hkl 0 2 2; 2.307 Å, 39.0°, rel. 33, hkl 3 0 -2

3.
Starting from a crystal structure in the Materials Project, relaxed with PBE+U, the powder X-ray diffraction pattern of LiFe6O7F5 was calculated for copper Kα.
Kinematic intensities with the Lorentz-polarization factor, no thermal factor.

Atomic structure:
a b c (Å): 5.852 6.039 6.099
angles (deg): 100.23 99.98 98.77
Positions (direct):
Li  0.000  0.000  0.000
Fe  0.154  0.363  0.614
Fe  0.305  0.629  0.140
Fe  0.408  0.873  0.659
Fe  0.610  0.172  0.354
Fe  0.682  0.430  0.877
Fe  0.858  0.669  0.377
O  0.196  0.593  0.421
O  0.412  0.195  0.595
O  0.421  0.624  0.838
O  0.579  0.420  0.181
O  0.600  0.847  0.415
O  0.828  0.436  0.599
O  0.936  0.675  0.074
F  0.062  0.902  0.676
F  0.123  0.315  0.934
F  0.326  0.977  0.119
F  0.690  0.074  0.893
F  0.949  0.135  0.320

Top 10 peaks for 10 to 80 degrees two-theta, by angle:
5.851 Å, 15.1°, rel. 28, hkl 0 1 0; 4.511 Å, 19.7°, rel. 17, hkl 1 -1 0; 2.861 Å, 31.3°, rel. 100, hkl 0 2 -1; 2.821 Å, 31.7°, rel. 35, hkl 1 1 1; 2.759 Å, 32.4°, rel. 48, hkl 2 -1 0; 2.052 Å, 44.1°, rel. 19, hkl 1 2 1; 1.762 Å, 51.9°, rel. 18, hkl 1 2 -3; 1.721 Å, 53.2°, rel. 16, hkl 2 -3 1; 1.710 Å, 53.6°, rel. 15, hkl -3 1 2; 1.697 Å, 54.0°, rel. 16, hkl 3 0 1

4.
Starting from a crystal structure in the Materials Project, relaxed with PBE+U, the powder X-ray diffraction pattern of Li3MnFe2B3O9 was calculated for copper Kα.
Kinematic intensities with the Lorentz-polarization factor, no thermal factor.

Atomic structure:
a b c (Å): 8.260 3.149 14.304
angles (deg): 90.00 90.11 90.00
Positions (direct):
Li  0.000  0.000  0.000
Li  0.025  0.000  0.295
Li  0.075  0.000  0.662
Li  0.503  0.000  0.502
Li  0.529  0.000  0.794
Li  0.575  0.000  0.159
Mn  0.176  0.500  0.472
Mn  0.234  0.500  0.146
Fe  0.193  0.500  0.835
Fe  0.680  0.500  0.972
Fe  0.692  0.500  0.335
Fe  0.731  0.500  0.648
B  0.369  0.000  0.983
B  0.370  0.500  0.652
B  0.371  0.000  0.318
B  0.865  0.000  0.486
B  0.867  0.500  0.152
B  0.868  0.000  0.818
O  0.004  0.500  0.208
O  0.020  0.000  0.527
O  0.020  0.000  0.861
O  0.217  0.500  0.694
O  0.229  0.000  0.371
O  0.230  0.000  0.040
O  0.351  0.000  0.886
O  0.361  0.000  0.221
O  0.384  0.500  0.555
O  0.508  0.500  0.708
O  0.521  0.000  0.362
O  0.522  0.000  0.024
O  0.714  0.500  0.193
O  0.729  0.000  0.543
O  0.729  0.000  0.873
O  0.849  0.000  0.389
O  0.856  0.000  0.721
O  0.880  0.500  0.055

Top 10 peaks for 10 to 80 degrees two-theta, by angle:
4.130 Å, 21.5°, rel. 100, hkl 1 0 3; 2.882 Å, 31.0°, rel. 16, hkl 1 1 1; 2.704 Å, 33.1°, rel. 16, hkl 3 0 -1; 2.504 Å, 35.9°, rel. 78, hkl 1 1 3; 2.384 Å, 37.7°, rel. 32, hkl 3 0 3; 2.065 Å, 43.8°, rel. 15, hkl 2 0 6; 1.901 Å, 47.9°, rel. 28, hkl 0 1 6; 1.727 Å, 53.0°, rel. 25, hkl 2 1 -6; 1.679 Å, 54.7°, rel. 17, hkl 4 1 2; 1.574 Å, 58.6°, rel. 11, hkl 0 2 0